1.
Structure and simulated X-ray powder pattern of AcInAgRh (a cell relaxed with GGA-PBE; a wavelength of 1.5418 Å).
Kinematic intensities with the Lorentz-polarization factor, no thermal factor.

Main lines, sorted by position (15° ≤ 2θ ≤ 90°):
two_theta  intensity  index
22.45  32  1 1 0
24.64  21  2 0 0
31.99  98  1 1 1
36.63  42  2 0 1
38.02  100  0 2 0
50.51  27  4 0 0
52.76  30  0 2 2
64.94  30  2 0 -4
67.80  22  5 1 0
68.70  17  6 0 -2

Structural model:
Lattice parameters (Å, degrees): 8.196 4.734 5.793 90.00 118.23 90.00
Space group Cm (No. 8)
Unique sites:
Ac (0.000, 0.000, 0.000) x2
In (0.018, 0.500, 0.554) x2
Ag (0.291, 0.500, 0.373) x2
Rh (0.207, 0.000, 0.620) x2


2.
Structure and simulated X-ray powder pattern of Ac2AgIr (a cell relaxed with GGA-PBE; a wavelength of 1.5418 Å).
Kinematic intensities with the Lorentz-polarization factor, no thermal factor.

Main lines, sorted by position (15° ≤ 2θ ≤ 90°):
two_theta  intensity  index
25.93  93  1 0 1
33.38  100  1 0 2
40.34  59  1 1 0
43.29  23  0 1 3
48.59  18  0 2 1
53.33  27  0 2 2
54.70  12  0 1 4
64.93  15  2 1 1
65.21  16  1 1 4
68.94  25  2 1 2

Structural model:
Lattice parameters (Å, degrees): 4.4714 4.4714 7.4473 90.00 90.00 120.00
Space group P-3m1 (No. 164)
Unique sites:
Ac (0.3333, 0.6667, 0.2892) x2
Ag (0.0000, 0.0000, 0.0000) x1
Ir (0.0000, 0.0000, 0.5000) x1


3.
Structure and simulated X-ray powder pattern of Ac2AgIr (a cell relaxed with GGA-PBE; a wavelength of 1.5418 Å).
Kinematic intensities with the Lorentz-polarization factor, no thermal factor.

Main lines, sorted by position (15° ≤ 2θ ≤ 90°):
two_theta  intensity  index
24.66  31  0 1 2
28.02  14  1 0 4
30.32  100  0 1 5
35.79  26  1 0 7
41.20  51  1 1 0
45.53  23  1 0 10
52.00  23  2 0 5
63.89  13  1 1 12
68.40  20  1 2 5
78.15  10  2 1 10

Structural model:
Lattice parameters (Å, degrees): 4.3822 4.3822 23.4098 90.00 90.00 120.00
Space group R3m (No. 160, hexagonal axes)
Unique sites:
Ac (0.0000, 0.0000, 0.0000) x3
Ac (0.0000, 0.0000, 0.1955) x3
Ag (0.0000, 0.0000, 0.4317) x3
Ir (0.0000, 0.0000, 0.5976) x3


4.
Structure and simulated X-ray powder pattern of Ac8Ag2Ir3 (a cell relaxed with GGA-PBE; a wavelength of 1.5418 Å).
Kinematic intensities with the Lorentz-polarization factor, no thermal factor.

Main lines, sorted by position (15° ≤ 2θ ≤ 90°):
two_theta  intensity  index
24.04  17  2 0 1
26.02  100  2 0 2
29.04  50  2 0 3
32.84  37  2 0 4
37.22  52  2 0 5
41.03  62  2 2 0
42.04  23  2 0 6
49.23  17  4 0 2
56.59  16  4 0 5
74.51  18  2 2 10

Structural model:
Lattice parameters (Å, degrees): 8.7992 8.7992 15.6193 90.00 90.00 120.00
Space group P6_3mc (No. 186)
Unique sites:
Ac (0.0000, 0.0000, 0.0000) x2
Ac (0.0210, 0.5105, 0.0008) x6
Ac (0.1603, 0.3207, 0.2895) x6
Ac (0.3333, 0.6667, 0.8000) x2
Ag (0.3333, 0.6667, 0.1533) x2
Ag (0.3333, 0.6667, 0.6035) x2
Ir (0.1642, 0.3285, 0.8959) x6


5.
Structure and simulated X-ray powder pattern of Ac9Ag2Ir4 (a cell relaxed with GGA-PBE; a wavelength of 1.5418 Å).
Kinematic intensities with the Lorentz-polarization factor, no thermal factor.

Main lines, sorted by position (15° ≤ 2θ ≤ 90°):
two_theta  intensity  index
15.75  16  1 0 2
26.46  100  1 1 3
34.41  69  1 1 6
40.90  45  3 0 0
44.93  24  1 1 9
49.37  16  2 2 3
54.49  17  2 2 6
65.98  11  4 1 3
67.58  20  3 0 12
70.32  15  4 1 6

Structural model:
Lattice parameters (Å, degrees): 7.6442 7.6442 21.3783 90.00 90.00 120.00
Space group P-3c1 (No. 165)
Unique sites:
Ac (0.0000, 0.3662, 0.2500) x6
Ac (0.0134, 0.3613, 0.5798) x12
Ag (0.0000, 0.0000, 0.1722) x4
Ir (0.3333, 0.6667, 0.1702) x4
Ir (0.3333, 0.6667, 0.4945) x4


6.
Structure and simulated X-ray powder pattern of AcAgIr (a cell relaxed with GGA-PBE; a wavelength of 1.5418 Å).
Kinematic intensities with the Lorentz-polarization factor, no thermal factor.

Main lines, sorted by position (15° ≤ 2θ ≤ 90°):
two_theta  intensity  index
30.40  100  1 1 1
33.51  72  1 5 0
33.78  62  1 3 1
37.43  70  0 6 1
39.77  18  1 5 1
42.32  36  0 0 2
43.43  31  2 0 0
55.03  35  1 5 2
58.65  38  2 6 1
62.25  22  2 0 2

Structural model:
Lattice parameters (Å, degrees): 4.168 17.436 4.271 90.00 90.00 90.00
Space group Cmcm (No. 63)
Unique sites:
Ac (0.000, 0.103, 0.250) x4
Ag (0.000, 0.295, 0.250) x4
Ir (0.000, 0.460, 0.250) x4


7.
Structure and simulated X-ray powder pattern of Ac5AgIr2 (a cell relaxed with GGA-PBE; a wavelength of 1.5418 Å).
Kinematic intensities with the Lorentz-polarization factor, no thermal factor.

Main lines, sorted by position (15° ≤ 2θ ≤ 90°):
two_theta  intensity  index
28.42  16  1 1 4
29.92  100  2 1 3
32.25  24  2 0 4
33.80  56  3 1 0
38.74  33  2 1 5
48.41  13  4 1 3
49.21  12  0 0 8
52.48  13  3 3 4
61.04  20  3 1 8
62.55  17  5 2 3

Structural model:
Lattice parameters (Å, degrees): 8.385 8.385 14.813 90.00 90.00 90.00
Space group I4/mcm (No. 140)
Unique sites:
Ac (0.000, 0.000, 0.000) x4
Ac (0.160, 0.340, 0.132) x16
Ag (0.000, 0.000, 0.250) x4
Ir (0.142, 0.358, 0.500) x8


8.
Structure and simulated X-ray powder pattern of Ac8AgIr6 (a cell relaxed with GGA-PBE; a wavelength of 1.5418 Å).
Kinematic intensities with the Lorentz-polarization factor, no thermal factor.

Main lines, sorted by position (15° ≤ 2θ ≤ 90°):
two_theta  intensity  index
25.23  39  2 -1 1
26.90  28  0 2 1
27.80  57  3 0 0
31.43  65  3 -1 1
33.56  23  1 3 0
37.89  100  2 2 1
39.45  29  0 0 2
45.62  34  5 -2 1
57.42  26  6 0 0
71.90  23  0 6 2

Structural model:
Lattice parameters (Å, degrees): 11.1186 11.1186 4.5685 90.00 90.00 120.00
Space group P-3 (No. 147)
Unique sites:
Ac (0.0269, 0.3462, 0.2477) x6
Ac (0.3333, 0.6667, 0.7506) x2
Ag (0.0000, 0.0000, 0.0000) x1
Ir (0.1554, 0.6669, 0.2507) x6


9.
Structure and simulated X-ray powder pattern of Ac6AgIr4 (a cell relaxed with GGA-PBE; a wavelength of 1.5418 Å).
Kinematic intensities with the Lorentz-polarization factor, no thermal factor.

Main lines, sorted by position (15° ≤ 2θ ≤ 90°):
two_theta  intensity  index
27.19  77  0 2 6
27.87  47  1 3 1
28.75  100  1 3 2
30.17  69  1 3 3
39.06  29  1 1 8
40.89  50  1 5 4
41.24  44  2 0 0
42.73  63  1 5 5
42.86  24  0 6 5
50.10  30  2 2 6

Structural model:
Lattice parameters (Å, degrees): 4.378 14.410 22.096 90.00 90.00 90.00
Space group Cmcm (No. 63)
Unique sites:
Ac (0.000, 0.000, 0.000) x4
Ac (0.000, 0.173, 0.250) x4
Ac (0.000, 0.268, 0.581) x8
Ac (0.000, 0.466, 0.155) x8
Ag (0.000, 0.152, 0.750) x4
Ir (0.000, 0.100, 0.130) x8
Ir (0.000, 0.364, 0.043) x8


10.
Structure and simulated X-ray powder pattern of Ac6NiAgIr2 (a cell relaxed with GGA-PBE; a wavelength of 1.5418 Å).
Kinematic intensities with the Lorentz-polarization factor, no thermal factor.

Main lines, sorted by position (15° ≤ 2θ ≤ 90°):
two_theta  intensity  index
15.83  23  0 1 2
26.56  100  1 1 3
31.96  11  0 2 4
34.80  56  2 -1 6
40.84  40  3 0 0
45.65  24  1 1 9
49.38  16  4 -2 3
54.71  13  2 2 6
68.54  15  0 3 12
70.47  13  5 -1 6

Structural model:
Lattice parameters (Å, degrees): 7.6548 7.6548 20.9295 90.00 90.00 120.00
Space group R3 (No. 146, hexagonal axes)
Unique sites:
Ac (0.0010, 0.3406, 0.0000) x9
Ac (0.0112, 0.6290, 0.5043) x9
Ni (0.0000, 0.0000, 0.9267) x3
Ag (0.0000, 0.0000, 0.4349) x3
Ir (0.0000, 0.0000, 0.2530) x3
Ir (0.0000, 0.0000, 0.7441) x3


11.
Structure and simulated X-ray powder pattern of Ac3AgIrO (a cell relaxed with GGA-PBE; a wavelength of 1.5418 Å).
Kinematic intensities with the Lorentz-polarization factor, no thermal factor.

Main lines, sorted by position (15° ≤ 2θ ≤ 90°):
two_theta  intensity  index
27.86  13  0 1 2
28.47  96  0 0 3
28.73  100  2 1 -1
32.04  15  1 0 3
36.62  31  2 1 2
37.59  15  1 0 -4
41.30  30  0 2 0
44.13  19  3 1 2
44.82  31  2 1 -4
50.93  24  0 2 3

Structural model:
Lattice parameters (Å, degrees): 9.178 4.372 9.604 90.00 101.61 90.00
Space group P2_1/m (No. 11)
Unique sites:
Ac (0.061, 0.250, 0.339) x2
Ac (0.317, 0.250, 0.970) x2
Ac (0.377, 0.750, 0.644) x2
Ag (0.322, 0.750, 0.270) x2
Ir (0.162, 0.250, 0.654) x2
O (0.419, 0.750, 0.908) x2


12.
Structure and simulated X-ray powder pattern of Ac2AgIrO5 (a cell relaxed with GGA-PBE; a wavelength of 1.5418 Å).
Kinematic intensities with the Lorentz-polarization factor, no thermal factor.

Main lines, sorted by position (15° ≤ 2θ ≤ 90°):
two_theta  intensity  index
17.11  16  1 1 0
27.20  23  2 1 0
28.91  100  2 0 1
31.17  31  0 0 2
31.43  47  2 1 1
34.61  24  2 2 0
41.84  29  2 1 2
42.04  17  3 1 1
47.26  20  2 2 2
54.04  35  2 0 3

Structural model:
Lattice parameters (Å, degrees): 7.330 7.330 5.738 90.00 90.00 90.00
Space group P4/mbm (No. 127)
Unique sites:
Ac (0.180, 0.320, 0.000) x4
Ag (0.000, 0.000, 0.500) x2
Ir (0.000, 0.500, 0.500) x2
O (0.000, 0.000, 0.000) x2
O (0.130, 0.630, 0.254) x8